The following is a computed powder X-ray diffraction pattern of Li5Rh3. It was derived from a cell relaxed with PBE, using Cu Kα, 1.54184 Å.
Lines closer than 0.1° are merged.

Structure:
```
Li5Rh3
1.0
2.682 1.549 4.329
-2.682 1.549 4.329
0.000 -3.097 4.329
Li Rh
5 3
direct
0.000 0.000 0.000
0.000 0.500 0.500
0.500 0.000 0.500
0.500 0.500 0.000
0.500 0.500 0.500
0.000 0.000 0.500
0.000 0.500 0.000
0.500 0.000 0.000
```

Top 6 peaks for 10 to 90 degrees two-theta, by angle:
2theta, I/Imax
20.3, 34
20.5, 100
23.5, 24
39.4, 55
41.3, 62
48.2, 39